Starting from a cell relaxed with GGA-PBE, the X-ray diffraction stick pattern of CsReCl6 was calculated for Cu Kα (weighted mean of Kα1 and Kα2).
Neutral-atom scattering factors, no anomalous dispersion.

Structural model:
Cell: 7.5023 7.5023 7.5023 Å, 55.27 55.27 55.27°
Element x y z (fractional)
Cs: 0.0000 0.0000 0.0000
Re: 0.5000 0.5000 0.5000
Cl: 0.1131 0.5874 0.5874
Cl: 0.4126 0.4126 0.8869
Cl: 0.4126 0.8869 0.4126
Cl: 0.5874 0.1131 0.5874
Cl: 0.5874 0.5874 0.1131
Cl: 0.8869 0.4126 0.4126

Principal peaks in the range 10° ≤ 2θ ≤ 80°, low angle first:
2θ/deg  I (rel.)
15.42  23
17.42  100
23.85  68
25.60  25
31.13  41
38.43  42
40.77  29
44.08  30
54.05  16
55.88  21

=====

Starting from a cell relaxed with GGA-PBE, the X-ray diffraction stick pattern of Cs3ReCl8 was calculated for Cu Kα (weighted mean of Kα1 and Kα2).
Neutral-atom scattering factors, no anomalous dispersion.

Structural model:
Cell: 10.3105 10.3105 9.3574 Å, 90.00 90.00 120.00°
Element x y z (fractional)
Cs: 0.1532 0.3064 0.0000
Cs: 0.1532 0.8468 0.0000
Cs: 0.3064 0.1532 0.5000
Cs: 0.6936 0.8468 0.0000
Cs: 0.8468 0.1532 0.5000
Cs: 0.8468 0.6936 0.5000
Re: 0.3333 0.6667 0.4507
Re: 0.6667 0.3333 0.9507
Cl: 0.0000 0.0000 0.2543
Cl: 0.0000 0.0000 0.7543
Cl: 0.1196 0.5598 0.3069
Cl: 0.2266 0.4532 0.5971
Cl: 0.2266 0.7734 0.5971
Cl: 0.3333 0.6667 0.9438
Cl: 0.4402 0.5598 0.3069
Cl: 0.4402 0.8804 0.3069
Cl: 0.4532 0.2266 0.0971
Cl: 0.5468 0.7734 0.5971
Cl: 0.5598 0.1196 0.8069
Cl: 0.5598 0.4402 0.8069
Cl: 0.6667 0.3333 0.4438
Cl: 0.7734 0.2266 0.0971
Cl: 0.7734 0.5468 0.0971
Cl: 0.8804 0.4402 0.8069

Principal peaks in the range 10° ≤ 2θ ≤ 80°, low angle first:
2θ/deg  I (rel.)
13.71  21
18.97  32
19.89  21
22.06  100
27.62  44
34.81  30
35.10  31
39.93  34
41.59  16
55.32  20

=====

Starting from a cell relaxed with GGA-PBE, the X-ray diffraction stick pattern of Cs3Rh2Cl9 was calculated for Cu Kα (weighted mean of Kα1 and Kα2).
Neutral-atom scattering factors, no anomalous dispersion.

Structural model:
Cell: 7.3812 7.3812 18.7281 Å, 90.00 90.00 120.00°
Element x y z (fractional)
Cs: 0.0000 0.0000 0.2500
Cs: 0.0000 0.0000 0.7500
Cs: 0.3333 0.6667 0.0676
Cs: 0.3333 0.6667 0.4324
Cs: 0.6667 0.3333 0.5676
Cs: 0.6667 0.3333 0.9324
Rh: 0.3333 0.6667 0.6670
Rh: 0.3333 0.6667 0.8330
Rh: 0.6667 0.3333 0.1670
Rh: 0.6667 0.3333 0.3330
Cl: 0.0424 0.5212 0.7500
Cl: 0.1827 0.3655 0.5964
Cl: 0.1827 0.3655 0.9036
Cl: 0.1827 0.8173 0.5964
Cl: 0.1827 0.8173 0.9036
Cl: 0.3655 0.1827 0.0964
Cl: 0.3655 0.1827 0.4036
Cl: 0.4788 0.5212 0.7500
Cl: 0.4788 0.9576 0.7500
Cl: 0.5212 0.0424 0.2500
Cl: 0.5212 0.4788 0.2500
Cl: 0.6345 0.8173 0.5964
Cl: 0.6345 0.8173 0.9036
Cl: 0.8173 0.1827 0.0964
Cl: 0.8173 0.1827 0.4036
Cl: 0.8173 0.6345 0.0964
Cl: 0.8173 0.6345 0.4036
Cl: 0.9576 0.4788 0.2500

Principal peaks in the range 10° ≤ 2θ ≤ 80°, low angle first:
2θ/deg  I (rel.)
14.64  48
19.88  31
24.11  100
27.60  58
29.53  43
31.44  62
33.96  46
36.97  35
44.63  43
49.39  41

=====

Starting from a cell relaxed with GGA-PBE, the X-ray diffraction stick pattern of Cs3Rh2Cl8 was calculated for Cu Kα (weighted mean of Kα1 and Kα2).
Neutral-atom scattering factors, no anomalous dispersion.

Structural model:
Cell: 9.7923 9.7923 9.7923 Å, 46.11 46.11 46.11°
Element x y z (fractional)
Cs: 0.0000 0.0000 0.0000
Cs: 0.2268 0.2268 0.2268
Cs: 0.7732 0.7732 0.7732
Rh: 0.4512 0.4512 0.4512
Rh: 0.5488 0.5488 0.5488
Cl: 0.1979 0.7286 0.7286
Cl: 0.2714 0.2714 0.8021
Cl: 0.2714 0.8021 0.2714
Cl: 0.3561 0.3561 0.3561
Cl: 0.6439 0.6439 0.6439
Cl: 0.7286 0.1979 0.7286
Cl: 0.7286 0.7286 0.1979
Cl: 0.8021 0.2714 0.2714

Principal peaks in the range 10° ≤ 2θ ≤ 80°, low angle first:
2θ/deg  I (rel.)
19.03  35
21.60  18
23.19  100
30.17  36
30.71  29
31.90  29
38.84  39
40.75  22
47.41  29
57.56  26

=====

Starting from a cell relaxed with GGA-PBE, the X-ray diffraction stick pattern of CsRhCl6 was calculated for Cu Kα (weighted mean of Kα1 and Kα2).
Neutral-atom scattering factors, no anomalous dispersion.

Structural model:
Cell: 8.1966 9.5655 6.4332 Å, 90.00 105.14 90.00°
Element x y z (fractional)
Cs: 0.0000 0.0000 0.0000
Cs: 0.5000 0.5000 0.0000
Rh: 0.0000 0.5000 0.5000
Rh: 0.5000 0.0000 0.5000
Cl: 0.0968 0.3285 0.7596
Cl: 0.0968 0.6715 0.7596
Cl: 0.2383 0.0000 0.5769
Cl: 0.2617 0.5000 0.4231
Cl: 0.4032 0.1715 0.2404
Cl: 0.4032 0.8285 0.2404
Cl: 0.5968 0.1715 0.7596
Cl: 0.5968 0.8285 0.7596
Cl: 0.7383 0.5000 0.5769
Cl: 0.7617 0.0000 0.4231
Cl: 0.9032 0.3285 0.2404
Cl: 0.9032 0.6715 0.2404

Principal peaks in the range 10° ≤ 2θ ≤ 80°, low angle first:
2θ/deg  I (rel.)
18.23  100
18.55  46
22.42  81
34.44  47
34.59  44
34.85  44
36.93  18
49.26  23
49.92  38
56.73  20

=====

Starting from a cell relaxed with GGA-PBE, the X-ray diffraction stick pattern of CsTl2RhCl8 was calculated for Cu Kα (weighted mean of Kα1 and Kα2).
Neutral-atom scattering factors, no anomalous dispersion.

Structural model:
Cell: 6.2325 7.0261 9.3093 Å, 90.03 90.48 113.05°
Element x y z (fractional)
Cs: 0.0000 0.0000 0.0000
Tl: 0.0013 0.5004 0.2524
Tl: 0.9987 0.4996 0.7476
Rh: 0.0000 0.0000 0.5000
Cl: 0.2240 0.7988 0.5018
Cl: 0.2402 0.2222 0.6782
Cl: 0.2414 0.2222 0.3251
Cl: 0.2823 0.6587 0.0011
Cl: 0.7177 0.3413 0.9989
Cl: 0.7586 0.7778 0.6749
Cl: 0.7598 0.7778 0.3218
Cl: 0.7760 0.2012 0.4982

Principal peaks in the range 10° ≤ 2θ ≤ 80°, low angle first:
2θ/deg  I (rel.)
15.45  100
23.55  66
25.02  14
25.16  14
25.80  36
31.07  34
31.32  33
32.64  27
34.55  15
34.81  15

=====

Starting from a cell relaxed with GGA-PBE, the X-ray diffraction stick pattern of CsTlRhCl6 was calculated for Cu Kα (weighted mean of Kα1 and Kα2).
Neutral-atom scattering factors, no anomalous dispersion.

Structural model:
Cell: 7.1221 7.1221 7.3278 Å, 90.00 90.00 120.00°
Element x y z (fractional)
Cs: 0.0000 0.0000 0.0000
Tl: 0.3333 0.6667 0.5000
Rh: 0.6667 0.3333 0.5000
Cl: 0.3989 0.0632 0.6874
Cl: 0.3989 0.3357 0.3126
Cl: 0.6643 0.0632 0.3126
Cl: 0.6643 0.6011 0.6874
Cl: 0.9368 0.3357 0.6874
Cl: 0.9368 0.6011 0.3126

Principal peaks in the range 10° ≤ 2θ ≤ 80°, low angle first:
2θ/deg  I (rel.)
12.08  35
18.81  100
25.01  33
27.86  18
31.47  26
35.14  60
39.69  13
40.61  30
44.04  19
57.55  13

=====

Starting from a cell relaxed with GGA-PBE, the X-ray diffraction stick pattern of CsVRhCl6 was calculated for Cu Kα (weighted mean of Kα1 and Kα2).
Neutral-atom scattering factors, no anomalous dispersion.

Structural model:
Cell: 6.3097 6.3097 7.9160 Å, 90.00 90.00 120.00°
Element x y z (fractional)
Cs: 0.0000 0.0000 0.0000
V: 0.3333 0.6667 0.5000
Rh: 0.6667 0.3333 0.5000
Cl: 0.3645 0.0040 0.6696
Cl: 0.3645 0.3605 0.3304
Cl: 0.6395 0.0040 0.3304
Cl: 0.6395 0.6355 0.6696
Cl: 0.9960 0.3605 0.6696
Cl: 0.9960 0.6355 0.3304

Principal peaks in the range 10° ≤ 2θ ≤ 80°, low angle first:
2θ/deg  I (rel.)
11.18  25
19.74  100
28.29  13
30.50  17
34.73  17
36.42  57
37.86  14
45.38  20
50.08  17
54.75  16